(1)
This entry pairs a crystal structure of LiEuYO2 with its computed powder diffraction line list. Radiation: Cu Kα (λ = 1.5418 Å). Structure: the PBE geometry in the Materials Project.

Principal peaks in the range 10° ≤ 2θ ≤ 80°, low angle first:
index, d [Å], 2θ/deg, intensity
0 0 2, 4.482, 19.81, 63.0
0 0 3, 2.988, 29.91, 62.1
1 1 -1, 2.908, 30.74, 100.0
2 0 0, 2.895, 30.89, 51.2
2 0 -2, 2.734, 32.76, 38.4
1 1 1, 2.713, 33.02, 84.1
1 1 -2, 2.610, 34.35, 53.8
2 0 -3, 2.367, 38.01, 48.7
1 1 2, 2.344, 38.40, 90.4
1 1 -4, 1.895, 48.01, 40.0
0 2 0, 1.717, 53.35, 58.3
1 1 4, 1.692, 54.22, 28.1

Structural model:
Unit cell a=5.9482 b=3.4346 c=9.2077 alpha=90.00 beta=103.23 gamma=90.00
Space group Cm (No. 8)
One atom of each set of equivalent atoms:
Li 0.0000 0.0000 0.0000 [2 per cell]
Eu 0.1157 0.0000 0.3849 [2 per cell]
Y 0.0674 0.5000 0.7210 [2 per cell]
O 0.2812 0.0000 0.8550 [2 per cell]
O 0.3528 0.5000 0.5850 [2 per cell]

---

(2)
This entry pairs a crystal structure of Ce2Al3Sn with its computed powder diffraction line list. Radiation: Cu Kα (λ = 1.5418 Å). Structure: the PBE geometry in the Materials Project.

Principal peaks in the range 10° ≤ 2θ ≤ 80°, low angle first:
index, d [Å], 2θ/deg, intensity
0 0 1, 7.794, 11.35, 7.5
0 0 2, 3.890, 22.86, 28.0
1 1 1, 2.841, 31.49, 100.0
0 1 3, 2.248, 40.11, 26.2
0 2 0, 2.242, 40.23, 13.1
2 0 0, 2.080, 43.51, 10.5
1 0 4, 1.765, 51.81, 8.3
1 2 2, 1.761, 51.93, 16.1
2 2 0, 1.526, 60.68, 23.4
1 2 4, 1.387, 67.52, 14.6
1 3 1, 1.384, 67.69, 7.4
3 1 1, 1.306, 72.34, 9.1

Structural model:
Unit cell a=4.1603 b=4.4838 c=7.7941 alpha=90.00 beta=90.00 gamma=90.00
Space group Pmm2 (No. 25)
One atom of each set of equivalent atoms:
Ce 0.0000 0.0000 0.0000 [1 per cell]
Ce 0.0000 0.5000 0.4906 [1 per cell]
Al 0.5000 0.0000 0.3259 [1 per cell]
Al 0.5000 0.0000 0.6483 [1 per cell]
Al 0.5000 0.5000 0.1739 [1 per cell]
Sn 0.5000 0.5000 0.8308 [1 per cell]